For Pr2SmCu2, a GGA-PBE-relaxed structure gives the computed X-ray diffraction stick pattern in this record (a wavelength of 1.5418 Å).
No peak broadening, texture or thermal motion is included.

Crystal structure
Cell: 12.0049 4.7177 10.5896 Å, 90.00 120.83 90.00°
Space group C2/m (No. 12)
Asymmetric unit:
Pr 0.0352 0.0000 0.1908
Pr 0.1824 0.0000 0.5891
Sm 0.1923 0.5000 0.8491
Cu 0.0493 0.5000 0.4174
Cu 0.1226 0.5000 0.0699

The 10 most intense peaks (2θ from 10° to 80°), most intense first:
| (hkl) | 2theta | I (rel.) |
| --- | --- | --- |
| 3 1 -1 | 29.48 | 100.0 |
| 1 1 2 | 31.58 | 95.3 |
| 3 1 -3 | 33.54 | 71.5 |
| 0 2 0 | 38.15 | 66.2 |
| 1 1 -3 | 32.30 | 52.8 |
| 3 1 1 | 37.57 | 41.5 |
| 3 1 -2 | 29.96 | 34.3 |
| 4 0 -1 | 30.83 | 34.0 |
| 4 0 -4 | 36.97 | 28.1 |
| 4 2 1 | 57.22 | 24.2 |